Structure and theoretical powder diffractogram of Li4VP2O8 (a DFT-relaxed cell (PBE+U, Alexandria); Cu Kα, 1.54184 Å).

Most intense lines, 10 to 80 degrees two-theta, by angle:
2theta, Rel. int., index
14.03, 20.1, 1 1 0
15.76, 14.3, 1 1 -1
20.31, 37.6, 0 2 1
21.67, 100.0, 1 2 -1
21.87, 36.2, 0 0 2
22.36, 47.8, 2 0 0
23.96, 28.8, 2 1 0
31.83, 44.1, 2 2 -2
34.36, 15.5, 2 3 0
34.57, 37.7, 0 4 0
35.71, 50.9, 2 0 2
60.24, 18.1, 2 6 -2

Crystal structure
abc: 8.279 10.377 8.460
angles: 90.00 106.14 90.00
Fractional positions:
Li  0.018  0.071  0.264
Li  0.018  0.429  0.764
Li  0.121  0.161  0.626
Li  0.121  0.339  0.126
Li  0.154  0.662  0.663
Li  0.154  0.838  0.163
Li  0.341  0.158  0.364
Li  0.341  0.342  0.864
Li  0.659  0.658  0.136
Li  0.659  0.842  0.636
Li  0.846  0.162  0.837
Li  0.846  0.338  0.337
Li  0.879  0.661  0.874
Li  0.879  0.839  0.374
Li  0.982  0.571  0.236
Li  0.982  0.929  0.736
V  0.383  0.646  0.373
V  0.383  0.854  0.873
V  0.617  0.146  0.127
V  0.617  0.354  0.627
P  0.213  0.092  0.990
P  0.213  0.408  0.490
P  0.276  0.585  0.041
P  0.276  0.915  0.541
P  0.724  0.085  0.459
P  0.724  0.415  0.959
P  0.787  0.592  0.510
P  0.787  0.908  0.010
O  0.068  0.104  0.827
O  0.068  0.396  0.327
O  0.161  0.155  0.135
O  0.161  0.345  0.635
O  0.162  0.643  0.145
O  0.162  0.857  0.645
O  0.210  0.051  0.480
O  0.210  0.449  0.980
O  0.253  0.553  0.527
O  0.253  0.947  0.027
O  0.275  0.673  0.895
O  0.275  0.827  0.395
O  0.369  0.164  0.962
O  0.369  0.336  0.462
O  0.456  0.581  0.165
O  0.456  0.919  0.665
O  0.544  0.081  0.335
O  0.544  0.419  0.835
O  0.631  0.664  0.538
O  0.631  0.836  0.038
O  0.725  0.173  0.605
O  0.725  0.327  0.105
O  0.747  0.053  0.973
O  0.747  0.447  0.473
O  0.790  0.551  0.020
O  0.790  0.949  0.520
O  0.838  0.143  0.355
O  0.838  0.357  0.855
O  0.839  0.655  0.365
O  0.839  0.845  0.865
O  0.932  0.604  0.673
O  0.932  0.896  0.173